[1]
For TmTiFe11, a DFT-relaxed cell (GGA-PBE, Alexandria) gives the theoretical X-ray diffraction stick pattern in this record (λ = 1.5418 Å (Cu Kα)).
Intensities are scaled so that the largest is 100.

```
TmTiFe11
1.0
-2.3508 4.1938 4.2417
2.3508 -4.1938 4.2417
2.3508 4.1938 -4.2417
Tm Ti Fe
1 1 11
Direct
0.0000 0.0000 0.0000
0.6246 0.6246 0.0000
0.2070 0.4934 0.7136
0.2249 0.7249 0.5000
0.3478 0.3478 0.0000
0.3492 0.9942 0.3550
0.4942 0.4946 0.4986
0.4942 0.9957 0.9996
0.6393 0.9942 0.6450
0.7675 0.2675 0.5000
0.7798 0.4934 0.2864
0.9961 0.4946 0.0004
0.9961 0.9957 0.5014
```

Most intense lines, 10° ≤ 2θ ≤ 90°, sorted by position:
| 2θ (°) | I (rel.) |
| --- | --- |
| 30.31 | 30 |
| 30.44 | 29 |
| 37.10 | 31 |
| 37.42 | 37 |
| 38.29 | 23 |
| 42.63 | 46 |
| 43.12 | 100 |
| 43.27 | 84 |
| 44.04 | 51 |
| 44.17 | 48 |
| 49.36 | 30 |
| 79.06 | 23 |


[2]
For CeHfB12, a DFT-relaxed cell (GGA-PBE, Alexandria) gives the theoretical X-ray diffraction stick pattern in this record (λ = 1.5418 Å (Cu Kα)).
Intensities are scaled so that the largest is 100.

```
CeHfB12
1.0
4.0808 0.0000 0.0000
0.0000 4.0808 0.0000
0.0000 0.0000 8.1336
Ce Hf B
1 1 12
Direct
0.0000 0.0000 0.0000
0.0000 0.0000 0.5000
0.1978 0.5000 0.2542
0.1978 0.5000 0.7458
0.5000 0.1978 0.2542
0.5000 0.1978 0.7458
0.5000 0.5000 0.1008
0.5000 0.5000 0.4029
0.5000 0.5000 0.5971
0.5000 0.5000 0.8992
0.5000 0.8022 0.2542
0.5000 0.8022 0.7458
0.8022 0.5000 0.2542
0.8022 0.5000 0.7458
```

Most intense lines, 10° ≤ 2θ ≤ 90°, sorted by position:
| 2θ (°) | I (rel.) |
| --- | --- |
| 21.80 | 70 |
| 31.03 | 100 |
| 38.24 | 42 |
| 44.40 | 14 |
| 49.99 | 34 |
| 50.12 | 17 |
| 55.16 | 19 |
| 55.27 | 9 |
| 69.07 | 10 |
| 69.17 | 17 |
| 73.38 | 13 |
| 77.62 | 9 |


[3]
For Rb2ZrPF6, a DFT-relaxed cell (GGA-PBE, Alexandria) gives the theoretical X-ray diffraction stick pattern in this record (λ = 1.5418 Å (Cu Kα)).
Intensities are scaled so that the largest is 100.

```
Rb2ZrPF6
1.0
-3.4873 3.4873 4.9710
3.4873 -3.4873 4.9710
3.4873 3.4873 -4.9710
Rb Zr P F
2 1 1 6
Direct
0.2500 0.7500 0.5000
0.7500 0.2500 0.5000
0.0000 0.0000 0.0000
0.5000 0.5000 0.0000
0.2049 0.2049 0.0000
0.2065 0.2065 0.4131
0.2065 0.7935 0.0000
0.7935 0.2065 0.0000
0.7935 0.7935 0.5869
0.7951 0.7951 0.0000
```

Most intense lines, 10° ≤ 2θ ≤ 90°, sorted by position:
| 2θ (°) | I (rel.) |
| --- | --- |
| 15.52 | 40 |
| 25.44 | 100 |
| 25.54 | 49 |
| 31.33 | 19 |
| 36.14 | 21 |
| 36.44 | 41 |
| 44.78 | 18 |
| 44.96 | 36 |
| 52.26 | 24 |
| 52.48 | 12 |
| 59.22 | 23 |
| 71.17 | 12 |